Entry 1:
# TmNbN2O
Simulated powder diffraction line list, Cu Kα. Input: DFT lattice parameters and positions (PBE).
Intensities are scaled so that the largest is 100.

Main lines, by angle (2θ = 5–70°):
25.35 deg, d 3.513, I = 14, (1 1 1)
31.49 deg, d 2.841, I = 20, (2 0 0)
32.29 deg, d 2.773, I = 100, (1 2 1)
32.88 deg, d 2.724, I = 23, (0 0 2)
46.17 deg, d 1.966, I = 16, (2 0 2)
58.33 deg, d 1.582, I = 20, (1 2 3)

Cell and atoms:
```
data_TmNbN2O
_symmetry_space_group_name_H-M 'P n m a'
_symmetry_Int_Tables_number 62
_symmetry_space_group_name_Hall '-P 2ac 2n'
_cell_length_a 5.6818
_cell_length_b 7.8204
_cell_length_c 5.4480
_cell_angle_alpha 90.00
_cell_angle_beta 90.00
_cell_angle_gamma 90.00
loop_
_atom_site_label
_atom_site_fract_x
_atom_site_fract_y
_atom_site_fract_z
Tm1 0.0641 0.2500 0.0249
Nb1 0.0000 0.0000 0.5000
N1 0.2026 0.5659 0.7995
O1 0.0475 0.7500 0.3694
```

=====

Entry 2:
# FeIr13
Simulated powder diffraction line list, Cu Kα. Input: DFT lattice parameters and positions (PBE).
Intensities are scaled so that the largest is 100.

Main lines, by angle (2θ = 5–70°):
36.15 deg, d 2.484, I = 52, (2 2 1)
40.08 deg, d 2.250, I = 82, (3 1 -2)
40.80 deg, d 2.212, I = 60, (2 0 2)
41.50 deg, d 2.176, I = 64, (0 2 2)
42.37 deg, d 2.133, I = 100, (1 3 1)
43.78 deg, d 2.068, I = 81, (4 2 -1)

Cell and atoms:
```
data_FeIr13
_symmetry_space_group_name_H-M 'C 1 2/m 1'
_symmetry_Int_Tables_number 12
_symmetry_space_group_name_Hall '-C 2y'
_cell_length_a 10.4008
_cell_length_b 7.3039
_cell_length_c 5.5348
_cell_angle_alpha 90.00
_cell_angle_beta 101.71
_cell_angle_gamma 90.00
loop_
_atom_site_label
_atom_site_fract_x
_atom_site_fract_y
_atom_site_fract_z
Fe1 0.0000 0.0000 0.0000
Ir1 0.0000 0.0000 0.5000
Ir2 0.0737 0.3035 0.8272
Ir3 0.1160 0.5000 0.4452
Ir4 0.1805 0.1835 0.2821
Ir5 0.2287 0.0000 0.8811
```

=====

Entry 3:
# K3Cu11Te16
Simulated powder diffraction line list, Cu Kα. Input: DFT lattice parameters and positions (PBE).
Intensities are scaled so that the largest is 100.

Main lines, by angle (2θ = 5–70°):
20.06 deg, d 4.427, I = 95, (3 2 1)
27.13 deg, d 3.286, I = 100, (2 0 2)
28.90 deg, d 3.089, I = 64, (4 6 0)
29.26 deg, d 3.053, I = 95, (3 6 1)
45.14 deg, d 2.009, I = 71, (8 0 2)
47.15 deg, d 1.927, I = 88, (6 10 0)

Cell and atoms:
```
data_K3Cu11Te16
_symmetry_space_group_name_H-M 'I m m a'
_symmetry_Int_Tables_number 74
_symmetry_space_group_name_Hall '-I 2b 2'
_cell_length_a 19.6757
_cell_length_b 23.8189
_cell_length_c 6.9609
_cell_angle_alpha 90.00
_cell_angle_beta 90.00
_cell_angle_gamma 90.00
loop_
_atom_site_label
_atom_site_fract_x
_atom_site_fract_y
_atom_site_fract_z
K1 0.0000 0.0000 0.0000
K2 0.1522 0.2500 0.0735
Cu1 0.0000 0.2500 0.3508
Cu2 0.1054 0.0929 0.3121
Cu3 0.1130 0.0893 0.7021
Cu4 0.2500 0.1065 0.7500
Te1 0.0000 0.1417 0.7914
Te2 0.0000 0.1497 0.2035
Te3 0.0741 0.0000 0.5000
Te4 0.0974 0.2500 0.6048
Te5 0.1759 0.0597 0.0145
Te6 0.1875 0.1614 0.4816
```

=====

Entry 4:
# ZrGeSeS3
Simulated powder diffraction line list, Cu Kα. Input: DFT lattice parameters and positions (PBE).
Intensities are scaled so that the largest is 100.

Main lines, by angle (2θ = 5–70°):
11.27 deg, d 7.852, I = 100, (0 2 0)
14.09 deg, d 6.286, I = 50, (0 2 1)
31.10 deg, d 2.876, I = 36, (1 3 1)
34.19 deg, d 2.623, I = 21, (0 0 4)
34.52 deg, d 2.598, I = 40, (1 3 2)
38.82 deg, d 2.320, I = 31, (1 5 1)

Cell and atoms:
```
data_ZrGeSeS3
_symmetry_space_group_name_H-M 'C m c 21'
_symmetry_Int_Tables_number 36
_symmetry_space_group_name_Hall 'C 2c -2'
_cell_length_a 3.6435
_cell_length_b 15.7036
_cell_length_c 10.4911
_cell_angle_alpha 90.00
_cell_angle_beta 90.00
_cell_angle_gamma 90.00
loop_
_atom_site_label
_atom_site_fract_x
_atom_site_fract_y
_atom_site_fract_z
Zr1 0.0000 0.1580 0.0000
Ge1 0.0000 0.2786 0.7920
Se1 0.0000 0.2204 0.5710
S1 0.0000 0.1268 0.2565
S2 0.0000 0.3977 0.3398
S3 0.0000 0.4615 0.5137
```